Entry 1:
# NbIn3Cl7
Calculated powder diffraction line list, Cu Ka. Input: a cell relaxed with PBE.
Intensities are scaled so that the largest is 100.

Top 12 peaks for 2θ = 10–80°, low angle first:
Position (°2θ)  I (rel.)  hkl
18.92  77  2 0 0
22.67  51  2 0 -2
22.90  100  0 2 1
25.34  39  0 0 2
30.34  18  1 3 0
33.56  39  4 0 -2
33.82  52  2 2 1
34.82  19  1 3 1
38.34  40  2 2 -3
38.95  43  2 0 2
43.00  18  4 2 -3
43.16  17  0 2 3

Cell and atoms:
Cell: 10.8676 9.3101 8.1574 Å, 90.00 120.32 90.00°
Space group Cm (No. 8)
Unique sites:
Nb: 0.0000 0.0000 0.0000
In: 0.0011 0.5000 0.9650
In: 0.4961 0.2874 0.5061
Cl: 0.1350 0.1899 0.2248
Cl: 0.1629 0.0000 0.8750
Cl: 0.3347 0.5000 0.1184
Cl: 0.3611 0.3129 0.7649
Cl: 0.4932 0.0000 0.6073


Entry 2:
# NdDy2Sc
Calculated powder diffraction line list, Cu Ka. Input: a cell relaxed with PBE.
Intensities are scaled so that the largest is 100.

Top 12 peaks for 2θ = 10–80°, low angle first:
Position (°2θ)  I (rel.)  hkl
12.59  5  1 1 0
17.85  6  2 0 0
22.05  6  1 1 1
25.45  5  0 2 1
31.26  100  2 2 1
36.12  34  0 4 0
36.52  17  0 0 2
52.01  12  4 4 0
52.31  23  0 4 2
61.95  27  2 6 1
62.48  14  2 2 3
65.22  12  4 4 2

Cell and atoms:
Cell: 9.9372 9.9548 4.9211 Å, 90.00 90.00 90.00°
Space group Cmcm (No. 63)
Unique sites:
Nd: 0.0000 0.1283 0.2500
Dy: 0.2439 0.3760 0.2500
Sc: 0.0000 0.3812 0.7500


Entry 3:
# Al4CoTc
Calculated powder diffraction line list, Cu Ka. Input: a cell relaxed with PBE.
Intensities are scaled so that the largest is 100.

Top 12 peaks for 2θ = 10–80°, low angle first:
Position (°2θ)  I (rel.)  hkl
22.08  4  1 0 0
26.65  100  1 0 1
34.87  4  1 1 1
43.80  69  1 1 2
45.04  32  2 0 0
50.91  16  1 0 3
53.10  28  2 1 1
61.74  6  0 0 4
65.59  10  2 2 0
70.30  11  2 1 3
72.12  5  3 0 1
79.62  11  2 0 4

Cell and atoms:
Cell: 4.0259 4.0259 6.0102 Å, 90.00 90.00 90.00°
Space group P4/mmm (No. 123)
Unique sites:
Al: 0.0000 0.5000 0.2360
Co: 0.0000 0.0000 0.0000
Tc: 0.5000 0.5000 0.5000


Entry 4:
# Rb2FeCl5
Calculated powder diffraction line list, Cu Ka. Input: a cell relaxed with PBE.
Intensities are scaled so that the largest is 100.

Top 12 peaks for 2θ = 10–80°, low angle first:
Position (°2θ)  I (rel.)  hkl
16.94  35  2 1 -1
18.92  21  0 0 2
19.57  67  2 0 -2
20.37  46  0 2 1
21.69  85  3 0 0
22.45  20  1 0 2
22.68  100  1 2 1
28.83  75  4 0 -2
32.24  43  3 2 1
32.62  75  1 2 -3
34.29  25  3 3 -1
38.38  23  0 0 4

Cell and atoms:
Cell: 13.0543 9.8461 9.9589 Å, 90.00 109.65 90.00°
Space group P2_1/c (No. 14)
Unique sites:
Rb: 0.0187 0.1287 0.2082
Rb: 0.3653 0.1392 0.0560
Fe: 0.3043 0.5752 0.0321
Cl: 0.1105 0.1371 0.9425
Cl: 0.1348 0.6119 0.0181
Cl: 0.3038 0.0607 0.3539
Cl: 0.3868 0.7325 0.5197
Cl: 0.3942 0.0355 0.7321


Entry 5:
# Dy3Sn3Pt
Calculated powder diffraction line list, Cu Ka. Input: a cell relaxed with PBE.
Intensities are scaled so that the largest is 100.

Top 12 peaks for 2θ = 10–80°, low angle first:
Position (°2θ)  I (rel.)  hkl
30.59  100  1 1 3
31.07  88  1 1 -4
31.33  28  3 1 -1
32.14  48  4 0 -2
35.60  41  3 1 -4
37.96  94  3 1 2
38.17  43  4 0 -5
39.14  33  3 1 -5
40.18  71  0 2 0
52.36  25  4 2 -2
56.62  28  4 2 -5
61.82  30  7 1 -3

Cell and atoms:
Cell: 11.1477 4.4882 15.0098 Å, 90.00 109.46 90.00°
Space group C2/m (No. 12)
Unique sites:
Dy: 0.0192 0.0000 0.3773
Dy: 0.0984 0.0000 0.9242
Dy: 0.2360 0.0000 0.2367
Sn: 0.0163 0.5000 0.2311
Sn: 0.1292 0.5000 0.0762
Sn: 0.1449 0.5000 0.5333
Pt: 0.2419 0.5000 0.3790


Entry 6:
# Cs3Ce2Cl8
Calculated powder diffraction line list, Cu Ka. Input: a cell relaxed with PBE.
Intensities are scaled so that the largest is 100.

Top 12 peaks for 2θ = 10–80°, low angle first:
Position (°2θ)  I (rel.)  hkl
10.03  24  0 0 1
10.46  100  2 0 -1
20.14  20  0 0 2
21.01  15  4 0 -2
22.26  14  2 0 1
22.79  40  0 2 1
25.36  34  2 2 -2
28.50  27  4 0 0
30.02  13  4 0 -4
30.84  15  4 2 -1
31.55  43  4 2 -3
36.92  25  0 2 3

Cell and atoms:
Cell: 16.9335 8.7004 11.9186 Å, 90.00 132.29 90.00°
Space group C2/m (No. 12)
Unique sites:
Cs: 0.0000 0.0000 0.0000
Cs: 0.0000 0.2546 0.5000
Ce: 0.2345 0.5000 0.9987
Cl: 0.0199 0.5000 0.7435
Cl: 0.0429 0.0000 0.7541
Cl: 0.2286 0.2319 0.1378


Entry 7:
# HfThAu
Calculated powder diffraction line list, Cu Ka. Input: a cell relaxed with PBE.
Intensities are scaled so that the largest is 100.

Top 12 peaks for 2θ = 10–80°, low angle first:
Position (°2θ)  I (rel.)  hkl
26.92  4  1 0 1
28.71  7  0 0 4
33.89  100  1 0 3
37.01  44  1 1 0
43.67  9  0 0 6
47.50  7  1 1 4
53.33  16  2 0 0
58.52  25  1 1 6
64.70  32  2 1 3
71.31  8  2 0 6
73.93  4  1 0 9
78.79  5  2 2 0

Cell and atoms:
Cell: 3.4355 3.4355 12.4369 Å, 90.00 90.00 90.00°
Space group I4mm (No. 107)
Unique sites:
Hf: 0.0000 0.0000 0.0000
Th: 0.0000 0.0000 0.6881
Au: 0.0000 0.0000 0.3778


Entry 8:
# Rb2LiP
Calculated powder diffraction line list, Cu Ka. Input: a cell relaxed with PBE.
Intensities are scaled so that the largest is 100.

Top 12 peaks for 2θ = 10–80°, low angle first:
Position (°2θ)  I (rel.)  hkl
13.81  23  1 1 0
26.35  77  0 2 1
27.78  32  3 1 0
29.03  37  0 0 2
31.43  100  3 1 1
37.38  10  1 3 1
40.62  19  3 1 2
42.29  15  3 3 0
49.85  13  0 2 3
52.11  19  3 3 2
52.99  22  3 1 3
59.49  15  6 2 1

Cell and atoms:
Cell: 10.4954 8.0978 6.1513 Å, 90.00 90.00 90.00°
Space group Cmcm (No. 63)
Unique sites:
Rb: 0.1679 0.1370 0.2500
Li: 0.0000 0.5000 0.0000
P: 0.0000 0.2683 0.7500


Entry 9:
# LiPb2
Calculated powder diffraction line list, Cu Ka. Input: a cell relaxed with PBE.
Intensities are scaled so that the largest is 100.

Top 12 peaks for 2θ = 10–80°, low angle first:
Position (°2θ)  I (rel.)  hkl
21.11  19  0 2 1
22.03  27  1 1 0
29.85  18  0 4 1
33.07  100  1 3 1
35.00  22  0 0 2
36.57  18  0 6 0
43.13  12  2 0 0
51.52  14  0 6 2
56.71  11  2 0 2
61.56  17  1 3 3
63.62  14  1 9 1
69.39  12  2 6 2

Cell and atoms:
Cell: 4.1947 14.7437 5.1272 Å, 90.00 90.00 90.00°
Space group Cmcm (No. 63)
Unique sites:
Li: 0.0000 0.0847 0.2500
Pb: 0.0000 0.2546 0.7500
Pb: 0.0000 0.4261 0.2500


Entry 10:
# Be5Cd4
Calculated powder diffraction line list, Cu Ka. Input: a cell relaxed with PBE.
Intensities are scaled so that the largest is 100.

Top 12 peaks for 2θ = 10–80°, low angle first:
Position (°2θ)  I (rel.)  hkl
15.07  50  1 1 0
25.67  32  1 0 1
30.41  64  2 2 0
33.64  99  2 1 1
40.21  100  3 0 1
46.33  28  3 3 0
47.63  18  0 0 2
56.44  16  5 1 0
57.56  20  2 2 2
60.75  15  4 3 1
65.18  35  5 2 1
68.63  16  3 3 2

Cell and atoms:
Cell: 8.3137 8.3137 3.8187 Å, 90.00 90.00 90.00°
Space group I4/mmm (No. 139)
Unique sites:
Be: 0.0000 0.0000 0.0000
Be: 0.1319 0.1319 0.5000
Cd: 0.0000 0.3047 0.0000


Entry 11:
# AcSn8Au6
Calculated powder diffraction line list, Cu Ka. Input: a cell relaxed with PBE.
Intensities are scaled so that the largest is 100.

Top 12 peaks for 2θ = 10–80°, low angle first:
Position (°2θ)  I (rel.)  hkl
22.03  18  1 1 0
24.98  20  0 0 6
25.36  73  2 -1 3
33.54  95  2 -1 6
38.65  100  3 0 0
44.23  33  1 1 9
46.57  21  3 0 6
52.09  27  2 2 6
55.21  17  3 0 9
66.71  25  5 -1 6
69.96  36  3 3 0
73.83  15  1 4 9

Cell and atoms:
Cell: 8.0699 8.0699 21.3905 Å, 90.00 90.00 120.00°
Space group R-3 (No. 148, hexagonal axes)
Unique sites:
Ac: 0.0000 0.0000 0.0000
Sn: 0.0000 0.0000 0.3273
Sn: 0.0032 0.3486 0.2192
Au: 0.0007 0.3178 0.7493


Entry 12:
# Cs3AgAu2Br6
Calculated powder diffraction line list, Cu Ka. Input: a cell relaxed with PBE.
Intensities are scaled so that the largest is 100.

Top 12 peaks for 2θ = 10–80°, low angle first:
Position (°2θ)  I (rel.)  hkl
15.50  53  0 1 1
18.65  33  0 0 2
21.51  100  1 1 0
22.44  45  1 0 2
26.62  24  0 2 1
28.13  28  0 0 3
31.28  75  2 0 2
34.48  27  1 2 1
37.73  26  3 0 0
38.29  40  2 1 2
43.84  55  2 2 0
52.91  30  2 2 3

Cell and atoms:
Cell: 8.2611 8.2611 9.5153 Å, 90.00 90.00 120.00°
Space group P-3m1 (No. 164)
Unique sites:
Cs: 0.0000 0.0000 0.0000
Cs: 0.3333 0.6667 0.6613
Ag: 0.0000 0.0000 0.5000
Au: 0.3333 0.6667 0.2898
Br: 0.1534 0.3067 0.3001